1.
For Tl3B3S10, a DFT-relaxed cell (PBE, Alexandria) gives the simulated powder XRD pattern in this record (λ = 1.5418 Å (Cu Kα)).

Peak list (10 most intense, 10 to 80 degrees two-theta, low angle first)
- 17.45°, I 64.5
- 17.94°, I 85.0
- 19.64°, I 77.4
- 22.41°, I 65.8
- 24.16°, I 59.4
- 24.51°, I 62.0
- 26.14°, I 63.6
- 26.90°, I 59.2
- 29.29°, I 59.4
- 30.08°, I 100.0

```
Tl3B3S10
1.0
7.050 0.000 0.000
-0.833 7.948 0.000
-0.802 -3.235 13.558
Tl B S
6 6 20
Direct
0.010 0.374 0.297
0.274 0.937 0.343
0.318 0.686 0.984
0.682 0.314 0.016
0.726 0.063 0.657
0.990 0.626 0.703
0.104 0.117 0.914
0.260 0.224 0.741
0.367 0.415 0.589
0.633 0.585 0.411
0.740 0.776 0.259
0.896 0.883 0.086
0.075 0.286 0.838
0.136 0.028 0.123
0.139 0.232 0.050
0.170 0.250 0.614
0.242 0.555 0.515
0.297 0.986 0.731
0.329 0.006 0.882
0.465 0.727 0.486
0.479 0.558 0.712
0.491 0.642 0.219
0.509 0.358 0.781
0.521 0.442 0.288
0.535 0.273 0.514
0.671 0.994 0.118
0.703 0.014 0.269
0.758 0.445 0.485
0.830 0.750 0.386
0.861 0.768 0.950
0.864 0.972 0.877
0.925 0.714 0.162
```

2.
For NaPdCl6, a DFT-relaxed cell (PBE, Alexandria) gives the simulated powder XRD pattern in this record (λ = 1.5418 Å (Cu Kα)).

Peak list (10 most intense, 10 to 80 degrees two-theta, low angle first)
- 14.88°, I 100.0
- 15.83°, I 46.2
- 17.20°, I 83.0
- 17.75°, I 14.7
- 23.87°, I 30.5
- 27.69°, I 13.3
- 31.92°, I 13.6
- 33.31°, I 36.8
- 36.80°, I 21.9
- 39.38°, I 19.9

```
NaPdCl6
1.0
5.094 -5.598 0.000
5.094 5.598 0.000
-1.612 0.000 8.184
Na Pd Cl
2 2 12
Direct
0.103 0.897 0.750
0.897 0.103 0.250
0.000 0.500 0.000
0.500 0.000 0.500
0.074 0.204 0.996
0.095 0.515 0.744
0.204 0.074 0.496
0.300 0.608 0.096
0.392 0.700 0.404
0.485 0.905 0.756
0.515 0.095 0.244
0.608 0.300 0.596
0.700 0.392 0.904
0.796 0.926 0.504
0.905 0.485 0.256
0.926 0.796 0.004
```

3.
For ZrI2O8, a DFT-relaxed cell (PBE, Alexandria) gives the simulated powder XRD pattern in this record (λ = 1.5418 Å (Cu Kα)).

Peak list (10 most intense, 10 to 80 degrees two-theta, low angle first)
- 22.08°, I 100.0
- 28.91°, I 42.6
- 33.78°, I 16.0
- 36.67°, I 10.2
- 45.04°, I 13.3
- 47.35°, I 25.6
- 47.78°, I 10.7
- 54.41°, I 9.7
- 59.89°, I 8.8
- 64.64°, I 9.2

```
ZrI2O8
1.0
6.178 0.000 0.000
-3.089 5.350 0.000
0.000 0.000 6.111
Zr I O
1 2 8
Direct
0.000 0.000 0.000
0.333 0.667 0.732
0.667 0.333 0.268
0.158 0.316 0.795
0.158 0.842 0.795
0.316 0.158 0.205
0.333 0.667 0.442
0.667 0.333 0.558
0.684 0.842 0.795
0.842 0.158 0.205
0.842 0.684 0.205
```

4.
For Pm4Pr5Tl4, a DFT-relaxed cell (PBE, Alexandria) gives the simulated powder XRD pattern in this record (λ = 1.5418 Å (Cu Kα)).

Peak list (10 most intense, 10 to 80 degrees two-theta, low angle first)
- 30.56°, I 100.0
- 31.41°, I 10.3
- 33.71°, I 13.8
- 34.36°, I 23.6
- 35.95°, I 16.3
- 47.24°, I 6.7
- 50.62°, I 19.1
- 59.20°, I 15.5
- 62.69°, I 9.0
- 65.07°, I 10.3

```
Pm4Pr5Tl4
1.0
-6.369 6.369 2.610
6.369 -6.369 2.610
6.369 6.369 -2.610
Pm Pr Tl
4 5 4
Direct
0.092 0.610 0.702
0.390 0.092 0.481
0.610 0.908 0.519
0.908 0.390 0.298
0.000 0.000 0.000
0.308 0.399 0.707
0.399 0.692 0.091
0.601 0.308 0.909
0.692 0.601 0.293
0.105 0.234 0.339
0.234 0.895 0.128
0.766 0.105 0.872
0.895 0.766 0.661
```

5.
For YHoEr2Sc, a DFT-relaxed cell (PBE, Alexandria) gives the simulated powder XRD pattern in this record (λ = 1.5418 Å (Cu Kα)).

Peak list (10 most intense, 10 to 80 degrees two-theta, low angle first)
- 11.10°, I 23.7
- 22.30°, I 17.0
- 30.59°, I 100.0
- 34.62°, I 24.1
- 36.42°, I 35.8
- 40.62°, I 35.9
- 44.69°, I 14.4
- 53.79°, I 15.9
- 65.66°, I 16.2
- 67.74°, I 20.5

```
YHoEr2Sc
1.0
3.139 -7.973 0.000
3.139 7.973 0.000
0.000 0.000 6.284
Y Ho Er Sc
2 2 4 2
Direct
0.250 0.750 0.750
0.750 0.250 0.250
0.159 0.841 0.250
0.841 0.159 0.750
0.252 0.252 0.000
0.252 0.252 0.500
0.748 0.748 0.000
0.748 0.748 0.500
0.345 0.655 0.250
0.655 0.345 0.750
```

6.
For Sm3Cu2Ni3, a DFT-relaxed cell (PBE, Alexandria) gives the simulated powder XRD pattern in this record (λ = 1.5418 Å (Cu Kα)).

Peak list (10 most intense, 10 to 80 degrees two-theta, low angle first)
- 31.33°, I 64.1
- 34.20°, I 100.0
- 34.49°, I 41.3
- 35.50°, I 90.7
- 35.80°, I 58.1
- 38.05°, I 90.3
- 39.46°, I 92.1
- 40.52°, I 86.6
- 42.66°, I 54.9
- 55.79°, I 40.5

```
Sm3Cu2Ni3
1.0
7.310 0.000 0.000
0.000 15.049 0.000
0.000 0.000 5.479
Sm Cu Ni
12 8 12
Direct
0.032 0.103 0.138
0.032 0.397 0.138
0.170 0.250 0.617
0.330 0.750 0.117
0.468 0.603 0.638
0.468 0.897 0.638
0.532 0.103 0.362
0.532 0.397 0.362
0.670 0.250 0.883
0.830 0.750 0.383
0.968 0.603 0.862
0.968 0.897 0.862
0.121 0.608 0.364
0.121 0.892 0.364
0.379 0.108 0.864
0.379 0.392 0.864
0.621 0.608 0.136
0.621 0.892 0.136
0.879 0.108 0.636
0.879 0.392 0.636
0.174 0.032 0.586
0.174 0.468 0.586
0.186 0.750 0.613
0.314 0.250 0.113
0.326 0.532 0.086
0.326 0.968 0.086
0.674 0.032 0.914
0.674 0.468 0.914
0.686 0.750 0.887
0.814 0.250 0.387
0.826 0.532 0.414
0.826 0.968 0.414
```